This entry pairs a crystal structure of PuVTe3 with its computed powder XRD pattern. Radiation: a wavelength of 1.5418 Å. Structure: a PBE-relaxed structure.
Kinematic intensities with the Lorentz-polarization factor, no thermal factor.

Largest 10 diffraction maxima, sorted by position, 5 to 70 degrees two-theta:
h k l  d (Å)  Position (°2θ)  Rel. int.
0 0 1  12.156  7.27  356
1 1 -1  4.408  20.14  625
2 0 -2  3.151  28.32  696
0 2 0  3.080  28.99  976
2 1 -1  3.062  29.17  367
0 2 2  2.751  32.55  580
2 0 -3  2.726  32.85  417
1 1 -4  2.557  35.10  1000
0 2 3  2.454  36.62  393
2 2 0  2.365  38.04  987

Structure:
Cell lengths 7.3701, 6.1688, 12.1557 Å; angles 90.00, 90.02, 90.00 degrees
Space group P2_1/m (No. 11)
Unique sites:
Pu1 0.0468 0.2500 0.1712 (multiplicity 2)
Pu2 0.4524 0.7500 0.1690 (multiplicity 2)
V1 0.2502 0.0015 0.4195 (multiplicity 4)
Te1 0.0611 0.7500 0.2619 (multiplicity 2)
Te2 0.0776 0.7500 0.5810 (multiplicity 2)
Te3 0.2497 0.9999 0.9720 (multiplicity 4)
Te4 0.4227 0.2500 0.5813 (multiplicity 2)
Te5 0.4371 0.2500 0.2627 (multiplicity 2)

This entry pairs a crystal structure of Y4PuTe5 with its computed powder XRD pattern. Radiation: a wavelength of 1.5418 Å. Structure: a PBE-relaxed structure.
Kinematic intensities with the Lorentz-polarization factor, no thermal factor.

Largest 10 diffraction maxima, sorted by position, 5 to 70 degrees two-theta:
h k l  d (Å)  Position (°2θ)  Rel. int.
1 1 0  6.921  12.79  53
1 0 1  5.233  16.94  54
2 0 0  4.894  18.13  27
1 2 1  3.574  24.91  28
1 3 0  3.095  28.84  1000
3 2 1  2.486  36.13  21
4 2 0  2.189  41.25  758
4 2 2  1.787  51.11  270
0 0 4  1.548  59.75  126
1 3 4  1.384  67.68  344

Structure:
Cell lengths 9.7875, 9.7875, 6.1920 Å; angles 90.00, 90.00, 90.00 degrees
Space group I4/m (No. 87)
Unique sites:
Y1 0.1000 0.2971 0.0000 (multiplicity 8)
Pu1 0.0000 0.0000 0.5000 (multiplicity 2)
Te1 0.0000 0.0000 0.0000 (multiplicity 2)
Te2 0.0990 0.3028 0.5000 (multiplicity 8)

This entry pairs a crystal structure of YPu6Te8 with its computed powder XRD pattern. Radiation: a wavelength of 1.5418 Å. Structure: a PBE-relaxed structure.
Kinematic intensities with the Lorentz-polarization factor, no thermal factor.

Largest 10 diffraction maxima, sorted by position, 5 to 70 degrees two-theta:
h k l  d (Å)  Position (°2θ)  Rel. int.
2 0 0  6.264  14.14  113
2 2 0  4.430  20.05  104
2 2 2  3.617  24.61  73
4 0 0  3.132  28.50  1000
4 2 0  2.802  31.95  68
4 2 2  2.557  35.09  53
4 4 0  2.215  40.74  773
4 4 4  1.808  50.47  279
8 0 0  1.566  58.98  132
8 4 0  1.401  66.78  364

Structure:
Cell lengths 12.5288, 12.5288, 12.5288 Å; angles 90.00, 90.00, 90.00 degrees
Space group Fm-3m (No. 225)
Unique sites:
Y1 0.0000 0.0000 0.0000 (multiplicity 4)
Pu1 0.0000 0.2500 0.2500 (multiplicity 24)
Te1 0.0000 0.0000 0.2500 (multiplicity 24)
Te2 0.2500 0.2500 0.2500 (multiplicity 8)

This entry pairs a crystal structure of YPu4Te5 with its computed powder XRD pattern. Radiation: a wavelength of 1.5418 Å. Structure: a PBE-relaxed structure.
Kinematic intensities with the Lorentz-polarization factor, no thermal factor.

Largest 10 diffraction maxima, sorted by position, 5 to 70 degrees two-theta:
h k l  d (Å)  Position (°2θ)  Rel. int.
1 1 0  3.610  24.66  111
1 0 5  3.127  28.55  1000
1 2 5  2.212  40.80  644
2 0 0  2.207  40.89  128
2 1 5  1.886  48.27  62
0 2 10  1.807  50.51  140
2 2 0  1.804  50.61  139
0 4 0  1.563  59.09  131
2 2 10  1.399  66.89  302
3 0 5  1.396  67.02  60

Structure:
Cell lengths 4.4144, 6.2575, 22.1333 Å; angles 90.00, 90.00, 90.00 degrees
Space group Immm (No. 71)
Unique sites:
Y1 0.0000 0.0000 0.0000 (multiplicity 2)
Pu1 0.0000 0.0000 0.1992 (multiplicity 4)
Pu2 0.0000 0.0000 0.4004 (multiplicity 4)
Te1 0.0000 0.5000 0.0000 (multiplicity 2)
Te2 0.0000 0.5000 0.2001 (multiplicity 4)
Te3 0.0000 0.5000 0.4015 (multiplicity 4)

This entry pairs a crystal structure of YPu3Te4 with its computed powder XRD pattern. Radiation: a wavelength of 1.5418 Å. Structure: a PBE-relaxed structure.
Kinematic intensities with the Lorentz-polarization factor, no thermal factor.

Largest 10 diffraction maxima, sorted by position, 5 to 70 degrees two-theta:
h k l  d (Å)  Position (°2θ)  Rel. int.
1 1 0  7.214  12.27  48
1 1 1  3.766  23.62  39
2 2 0  3.606  24.69  96
2 0 1  3.123  28.58  1000
4 0 0  2.208  40.86  771
4 2 1  1.883  48.33  54
4 4 0  1.803  50.62  278
4 0 2  1.562  59.16  131
6 2 0  1.433  65.09  24
6 0 1  1.397  67.00  361

Structure:
Cell lengths 8.8368, 12.4886, 4.4167 Å; angles 90.00, 90.00, 90.00 degrees
Space group Cmmm (No. 65)
Unique sites:
Y1 0.0000 0.0000 0.0000 (multiplicity 2)
Pu1 0.0000 0.5000 0.0000 (multiplicity 2)
Pu2 0.2500 0.2500 0.5000 (multiplicity 4)
Te1 0.0000 0.2487 0.0000 (multiplicity 4)
Te2 0.2473 0.0000 0.5000 (multiplicity 4)

This entry pairs a crystal structure of PuZnTe with its computed powder XRD pattern. Radiation: a wavelength of 1.5418 Å. Structure: a PBE-relaxed structure.
Kinematic intensities with the Lorentz-polarization factor, no thermal factor.

Largest 10 diffraction maxima, sorted by position, 5 to 70 degrees two-theta:
h k l  d (Å)  Position (°2θ)  Rel. int.
0 4 0  4.310  20.61  294
1 1 1  2.947  30.33  1000
1 3 1  2.653  33.78  270
1 5 0  2.601  34.48  476
0 6 1  2.431  36.98  449
0 0 2  2.280  39.52  278
1 5 1  2.259  39.90  179
2 0 0  1.981  45.80  183
1 5 2  1.715  53.44  275
2 6 1  1.536  60.27  219

Structure:
Cell lengths 3.9620, 17.2394, 4.5604 Å; angles 90.00, 90.00, 90.00 degrees
Space group Cmcm (No. 63)
Unique sites:
Pu1 0.0000 0.1228 0.2500 (multiplicity 4)
Zn1 0.0000 0.4758 0.2500 (multiplicity 4)
Te1 0.0000 0.3193 0.2500 (multiplicity 4)

This entry pairs a crystal structure of PuTh2 with its computed powder XRD pattern. Radiation: a wavelength of 1.5418 Å. Structure: a PBE-relaxed structure.
Kinematic intensities with the Lorentz-polarization factor, no thermal factor.

Largest 10 diffraction maxima, sorted by position, 5 to 70 degrees two-theta:
h k l  d (Å)  Position (°2θ)  Rel. int.
0 0 2  5.268  16.83  6
2 0 0  2.920  30.62  637
1 1 3  2.675  33.50  1000
2 2 0  2.065  43.85  245
1 1 5  1.877  48.50  8
0 0 6  1.756  52.08  72
3 1 3  1.635  56.28  472
2 0 6  1.505  61.63  175
4 0 0  1.460  63.74  83
3 1 5  1.389  67.43  6

Structure:
Cell lengths 5.8399, 5.8405, 10.5357 Å; angles 90.00, 90.00, 90.00 degrees
Space group Fmmm (No. 69)
Unique sites:
Pu1 0.0000 0.0000 0.0000 (multiplicity 4)
Th1 0.0000 0.0000 0.3402 (multiplicity 8)

This entry pairs a crystal structure of PuTh5 with its computed powder XRD pattern. Radiation: a wavelength of 1.5418 Å. Structure: a PBE-relaxed structure.
Kinematic intensities with the Lorentz-polarization factor, no thermal factor.

Largest 7 diffraction maxima, sorted by position, 5 to 70 degrees two-theta:
h k l  d (Å)  Position (°2θ)  Rel. int.
1 3 1  2.873  31.12  1000
2 0 0  2.491  36.06  340
0 0 2  2.484  36.16  169
2 0 2  1.760  51.97  369
3 3 1  1.502  61.78  295
1 3 3  1.499  61.91  147
2 6 2  1.437  64.90  128

Structure:
Cell lengths 4.9845, 14.9349, 4.9683 Å; angles 90.00, 90.00, 90.00 degrees
Space group Cmmm (No. 65)
Unique sites:
Pu1 0.0000 0.0000 0.0000 (multiplicity 2)
Th1 0.0000 0.1652 0.5000 (multiplicity 4)
Th2 0.0000 0.3356 0.0000 (multiplicity 4)
Th3 0.0000 0.5000 0.5000 (multiplicity 2)

This entry pairs a crystal structure of Pu4Th with its computed powder XRD pattern. Radiation: a wavelength of 1.5418 Å. Structure: a PBE-relaxed structure.
Kinematic intensities with the Lorentz-polarization factor, no thermal factor.

Largest 10 diffraction maxima, sorted by position, 5 to 70 degrees two-theta:
h k l  d (Å)  Position (°2θ)  Rel. int.
1 0 0  5.589  15.86  198
1 1 0  3.952  22.50  178
1 1 1  3.227  27.65  730
2 0 0  2.794  32.03  1000
2 1 0  2.499  35.93  110
2 1 1  2.282  39.50  85
2 2 0  1.976  45.93  757
3 1 1  1.685  54.45  351
2 2 2  1.613  57.09  269
4 0 0  1.397  66.97  126

Structure:
Cell lengths 5.5889, 5.5889, 5.5889 Å; angles 90.00, 90.00, 90.00 degrees
Space group Pm-3m (No. 221)
Unique sites:
Pu1 0.0000 0.0000 0.0000 (multiplicity 1)
Pu2 0.0000 0.5000 0.5000 (multiplicity 3)
Th1 0.5000 0.5000 0.5000 (multiplicity 1)

This entry pairs a crystal structure of Pu2ThTl3 with its computed powder XRD pattern. Radiation: a wavelength of 1.5418 Å. Structure: a PBE-relaxed structure.
Kinematic intensities with the Lorentz-polarization factor, no thermal factor.

Largest 8 diffraction maxima, sorted by position, 5 to 70 degrees two-theta:
h k l  d (Å)  Position (°2θ)  Rel. int.
1 0 3  2.773  32.29  1000
1 1 0  2.406  37.37  341
0 0 6  2.391  37.62  166
2 0 0  1.702  53.88  122
1 1 6  1.696  54.07  238
2 1 3  1.450  64.22  289
1 0 9  1.444  64.56  139
2 0 6  1.386  67.57  124

Structure:
Cell lengths 3.4031, 3.4031, 14.3466 Å; angles 90.00, 90.00, 90.00 degrees
Space group P4/mmm (No. 123)
Unique sites:
Pu1 0.0000 0.0000 0.1648 (multiplicity 2)
Th1 0.0000 0.0000 0.5000 (multiplicity 1)
Tl1 0.5000 0.5000 0.0000 (multiplicity 1)
Tl2 0.5000 0.5000 0.3288 (multiplicity 2)

This entry pairs a crystal structure of PuThTl2 with its computed powder XRD pattern. Radiation: a wavelength of 1.5418 Å. Structure: a PBE-relaxed structure.
Kinematic intensities with the Lorentz-polarization factor, no thermal factor.

Largest 8 diffraction maxima, sorted by position, 5 to 70 degrees two-theta:
h k l  d (Å)  Position (°2θ)  Rel. int.
1 1 1  2.788  32.11  1000
2 0 0  2.446  36.74  351
0 0 2  2.354  38.23  158
2 2 0  1.730  52.93  126
2 0 2  1.696  54.07  237
3 1 1  1.470  63.27  298
1 1 3  1.429  65.29  136
2 2 2  1.394  67.15  125

Structure:
Cell lengths 4.8927, 4.8927, 4.7079 Å; angles 90.00, 90.00, 90.00 degrees
Space group P4/mmm (No. 123)
Unique sites:
Pu1 0.0000 0.0000 0.0000 (multiplicity 1)
Th1 0.5000 0.5000 0.0000 (multiplicity 1)
Tl1 0.0000 0.5000 0.5000 (multiplicity 2)

This entry pairs a crystal structure of PuTh2Tl2 with its computed powder XRD pattern. Radiation: a wavelength of 1.5418 Å. Structure: a PBE-relaxed structure.
Kinematic intensities with the Lorentz-polarization factor, no thermal factor.

Largest 10 diffraction maxima, sorted by position, 5 to 70 degrees two-theta:
h k l  d (Å)  Position (°2θ)  Rel. int.
1 0 3  3.000  29.79  529
1 1 0  2.651  33.81  1000
1 0 4  2.495  36.00  426
1 0 5  2.111  42.84  124
2 0 3  1.986  45.67  168
0 0 6  1.979  45.86  79
2 0 4  1.817  50.22  184
2 1 3  1.590  58.02  167
3 0 0  1.530  60.49  195
2 1 4  1.499  61.92  191

Structure:
Cell lengths 5.3016, 5.3016, 11.8857 Å; angles 90.00, 90.00, 120.00 degrees
Space group P6_3/mmc (No. 194)
Unique sites:
Pu1 0.0000 0.0000 0.2500 (multiplicity 2)
Th1 0.0000 0.0000 0.0000 (multiplicity 2)
Th2 0.3333 0.6667 0.2500 (multiplicity 2)
Tl1 0.3333 0.6667 0.6171 (multiplicity 4)